Starting from a structure optimized by DFT (GGA+U), the powder XRD pattern of Hf2GaMoF was calculated for Cu Kα, 1.54184 Å.

Peak list (10 most intense, 5° ≤ 2θ ≤ 70°, sorted by position)
d (Å)	Rel. int.	(hkl)
3.934	38	0 0 1
3.158	22	1 0 1
2.713	100	1 1 1
2.648	88	2 0 0
2.197	34	2 0 1
1.967	18	0 0 2
1.872	32	2 2 0
1.579	36	2 0 2
1.541	36	3 1 1
1.356	22	2 2 2

Crystal structure
```
data_Hf2GaMoF
_cell_length_a 5.2962
_cell_length_b 5.2962
_cell_length_c 3.9341
_cell_angle_alpha 90.00
_cell_angle_beta 90.00
_cell_angle_gamma 90.00
_space_group_name_H-M_alt 'P 4/m m m'
_space_group_IT_number 123
_space_group_name_Hall '-P 4 2'
loop_
_atom_site_label
_atom_site_fract_x
_atom_site_fract_y
_atom_site_fract_z
_atom_site_occupancy
Hf1 0.0000 0.5000 0.0000 1
Ga1 0.0000 0.0000 0.0000 1
Mo1 0.5000 0.5000 0.5000 1
F1 0.0000 0.0000 0.5000 1
```